This entry pairs a crystal structure of CsTlV2O8 with its simulated powder diffraction line list. Radiation: Cu Ka. Structure: the PBE+U geometry in Alexandria.

Crystal structure
a = 5.716 Å, b = 5.716 Å, c = 8.628 Å
α = 90.00°, β = 90.00°, γ = 120.00°
Atoms (fractional coordinates):
Cs  0.000  0.000  0.000
Tl  0.000  0.000  0.500
V  0.333  0.667  0.714
V  0.667  0.333  0.286
O  0.084  0.343  0.658
O  0.260  0.916  0.658
O  0.333  0.667  0.914
O  0.343  0.260  0.342
O  0.657  0.740  0.658
O  0.667  0.333  0.086
O  0.740  0.084  0.342
O  0.916  0.657  0.342

Largest 10 diffraction maxima, most intense first, 2θ = 15–90°:
2θ/deg	d/Å	I_rel	hkl
27.42	3.252	100	0 1 2
17.92	4.950	74	1 0 0
31.30	2.858	48	1 1 0
42.09	2.147	34	0 2 2
20.69	4.293	32	0 1 1
53.38	1.716	31	3 -2 2
37.76	2.382	27	2 -1 2
53.20	1.722	19	1 1 4
45.89	1.977	19	1 0 4
72.22	1.308	13	3 1 2